# 1
For NaLi3H8N4, a crystal structure in Alexandria, relaxed with GGA-PBE gives the simulated powder XRD pattern in this record (copper Kα).
No peak broadening, texture or thermal motion is included.

Principal peaks in the range 2θ = 10–90°, sorted by position:
two_theta, I_rel
19.07, 34.4
24.80, 13.0
28.95, 15.6
29.23, 100.0
39.87, 17.7
40.48, 17.3
42.71, 7.8
47.52, 38.6
50.88, 17.0
59.75, 10.5

Structural model:
a = 5.076 Å, b = 5.076 Å, c = 11.647 Å
α = 90.00°, β = 90.00°, γ = 90.00°
Space group I-4 (No. 82)
Asymmetric unit:
Na1 0.000 0.000 0.000
Li1 0.000 0.000 0.239
Li2 0.000 0.500 0.250
H1 0.081 0.328 0.640
H2 0.101 0.746 0.418
N1 0.234 0.741 0.351

# 2
For LiH5SN2O4, a crystal structure in Alexandria, relaxed with GGA-PBE gives the simulated powder XRD pattern in this record (copper Kα).
No peak broadening, texture or thermal motion is included.

Principal peaks in the range 2θ = 10–90°, sorted by position:
two_theta, I_rel
13.06, 28.0
19.95, 29.0
20.09, 25.2
21.31, 57.1
21.83, 39.8
24.84, 40.6
26.71, 28.9
27.65, 100.0
28.26, 55.8
35.25, 31.5

Structural model:
a = 10.093 Å, b = 9.155 Å, c = 5.093 Å
α = 90.00°, β = 90.00°, γ = 90.00°
Space group Pna2_1 (No. 33)
Asymmetric unit:
Li1 0.167 0.068 0.000
H1 0.006 0.524 0.811
H2 0.026 0.221 0.325
H3 0.039 0.234 0.660
H4 0.121 0.607 0.991
H5 0.153 0.315 0.457
S1 0.161 0.870 0.505
N1 0.023 0.578 0.989
N2 0.053 0.289 0.482
O1 0.014 0.842 0.482
O2 0.192 0.889 0.790
O3 0.194 0.006 0.361
O4 0.233 0.743 0.397